(1)
Diffraction record for Li5HfPd6. The X-ray powder pattern is calculated, not measured: it uses DFT lattice parameters and positions (PBE) and λ = 1.5418 Å (Cu Kα).
Peak positions follow from Bragg's law for the DFT cell and can differ from measured ones.

a b c (Å): 4.376 6.093 6.804
angles (deg): 90.00 108.60 90.00
Positions (direct):
1 Li 0.000 0.000 0.000
2 Li 0.330 0.500 0.661
3 Li 0.332 0.000 0.667
4 Li 0.668 0.000 0.333
5 Li 0.670 0.500 0.339
6 Hf 0.000 0.500 0.000
7 Pd 0.169 0.246 0.337
8 Pd 0.169 0.754 0.337
9 Pd 0.500 0.240 0.000
10 Pd 0.500 0.760 0.000
11 Pd 0.831 0.246 0.663
12 Pd 0.831 0.754 0.663

Top 8 peaks for 10 to 90 degrees two-theta, in order of rising 2θ:
2theta  I/Imax
13.73  14
26.00  16
29.12  38
29.32  18
41.26  26
41.79  100
42.03  25
76.69  17



(2)
Diffraction record for BC3. The X-ray powder pattern is calculated, not measured: it uses DFT lattice parameters and positions (PBE) and λ = 1.5418 Å (Cu Kα).
Peak positions follow from Bragg's law for the DFT cell and can differ from measured ones.

a b c (Å): 6.827 6.827 4.572
angles (deg): 109.05 109.05 21.83
Positions (direct):
1 B 0.000 0.000 0.000
2 B 0.639 0.639 0.993
3 B 0.805 0.805 0.164
4 C 0.130 0.130 0.161
5 C 0.163 0.163 0.517
6 C 0.289 0.289 0.644
7 C 0.332 0.332 0.006
8 C 0.451 0.451 0.139
9 C 0.494 0.494 0.500
10 C 0.619 0.619 0.628
11 C 0.830 0.830 0.525
12 C 0.954 0.954 0.622

Top 8 peaks for 10 to 90 degrees two-theta, in order of rising 2θ:
2theta  I/Imax
41.90  49
42.71  100
42.92  57
71.91  28
72.38  12
73.23  14
73.35  23
88.79  12



(3)
Diffraction record for Ho8Mg3In2. The X-ray powder pattern is calculated, not measured: it uses DFT lattice parameters and positions (PBE) and λ = 1.5418 Å (Cu Kα).
Peak positions follow from Bragg's law for the DFT cell and can differ from measured ones.

a b c (Å): 9.343 9.343 5.484
angles (deg): 90.02 90.02 53.24
Positions (direct):
1 Ho 0.106 0.106 0.000
2 Ho 0.186 0.592 0.500
3 Ho 0.313 0.313 0.999
4 Ho 0.408 0.814 0.500
5 Ho 0.592 0.186 0.500
6 Ho 0.687 0.687 0.001
7 Ho 0.814 0.408 0.500
8 Ho 0.894 0.894 0.000
9 Mg 0.000 0.000 0.500
10 Mg 0.327 0.673 0.000
11 Mg 0.673 0.327 0.000
12 In 0.222 0.222 0.499
13 In 0.778 0.778 0.501

Top 8 peaks for 10 to 90 degrees two-theta, in order of rising 2θ:
2theta  I/Imax
21.26  39
23.77  24
26.79  69
32.66  65
33.17  100
34.46  94
59.85  21
64.52  30